The following is a calculated powder XRD pattern of Ba5RhAu2. It was derived from a crystal structure in Alexandria, relaxed with PBE, using Cu Kα X-rays.
Neutral-atom scattering factors, no anomalous dispersion.

```
16
Lattice="9.645 -3.902 0.000 9.645 3.902 0.000 -1.061 0.000 8.601" Properties=species:S:1:pos:R:3 pbc="T T T"
Ba 8.849 3.319 6.451
Ba 3.783 0.573 2.630
Ba 3.252 -0.573 6.931
Ba 7.633 0.842 0.685
Ba 11.126 0.842 3.615
Ba 7.102 -0.842 4.986
Ba 10.596 -0.842 7.916
Ba 14.977 0.573 1.670
Ba 14.446 -0.573 5.971
Ba 9.380 -3.319 2.150
Rh 4.822 1.951 0.000
Rh 4.292 -1.951 4.301
Au 7.294 2.296 3.679
Au 11.465 2.296 0.622
Au 6.763 -2.296 7.980
Au 10.935 -2.296 4.922
```

Top 10 peaks for 2θ = 10–80°, by angle:
| d_spacing | 2θ (°) | I_rel |
| --- | --- | --- |
| 4.471 | 19.9 | 58 |
| 3.437 | 25.9 | 55 |
| 3.409 | 26.1 | 50 |
| 3.278 | 27.2 | 62 |
| 3.078 | 29.0 | 51 |
| 3.021 | 29.6 | 62 |
| 2.890 | 30.9 | 44 |
| 2.727 | 32.8 | 43 |
| 2.708 | 33.1 | 100 |
| 2.090 | 43.3 | 48 |